The following is a simulated powder diffraction line list of NaVSeO5. It was derived from DFT lattice parameters and positions (GGA+U), using λ = 1.5418 Å (Cu Kα).
Peak positions follow from Bragg's law for the DFT cell and can differ from measured ones.

The 12 most intense peaks (2θ = 5–70°), most intense first:
h k l, Position (°2θ), d [Å], I/Imax
1 1 0, 17.6, 5.053, 100
1 1 1, 25.6, 3.480, 89
2 0 -2, 28.4, 3.147, 87
1 3 -1, 35.1, 2.560, 60
1 1 -2, 25.7, 3.462, 45
0 2 2, 34.0, 2.634, 36
2 0 2, 47.6, 1.912, 35
1 3 -2, 39.9, 2.257, 35
3 3 -3, 54.6, 1.680, 23
1 5 1, 60.1, 1.538, 21
2 2 -4, 52.9, 1.731, 19
2 2 0, 35.5, 2.529, 19

Cell and atoms:
Cell: 7.139 8.405 7.624 Å, 90.00 117.51 90.00°
Space group C2/c (No. 15)
Asymmetric unit:
1 Na 0.000 0.071 0.250
2 V 0.250 0.250 0.000
3 Se 0.000 0.457 0.250
4 O 0.000 0.241 0.750
5 O 0.061 0.315 0.119
6 O 0.219 0.035 0.052